Entry 1:
La2InGaGe: calculated powder XRD pattern (CuKα), based on a PBE-relaxed structure.
Kinematic intensities with the Lorentz-polarization factor, no thermal factor.

Structure:
a = 7.244 Å, b = 4.810 Å, c = 7.938 Å
α = 90.00°, β = 94.13°, γ = 90.00°
Space group P2_1/m (No. 11)
Symmetry-distinct sites (fractional):
La 0.170 0.250 0.446
La 0.253 0.250 0.982
In 0.356 0.750 0.699
Ga 0.438 0.750 0.319
Ge 0.109 0.750 0.202

Top 10 peaks for 2θ from 15° to 90°, in order of rising 2θ:
two_theta  I (rel.)  hkl
27.87  21  2 0 1
29.22  18  0 1 2
30.96  21  2 1 0
31.13  100  1 1 -2
32.33  22  2 0 -2
32.43  35  1 1 2
33.63  36  2 1 1
37.39  47  0 2 0
41.95  25  3 1 0
56.90  14  3 1 3

Entry 2:
Dy2Al7Au12: calculated powder XRD pattern (CuKα), based on a PBE-relaxed structure.
Kinematic intensities with the Lorentz-polarization factor, no thermal factor.

Structure:
a = 10.5780 Å, b = 10.5780 Å, c = 4.0797 Å
α = 90.00°, β = 90.00°, γ = 120.00°
Space group P-3 (No. 147)
Symmetry-distinct sites (fractional):
Dy 0.3333 0.6667 0.2448
Al 0.0000 0.0000 0.5000
Al 0.1020 0.7015 0.7407
Au 0.0857 0.4565 0.7547
Au 0.1282 0.2618 0.2385

Top 10 peaks for 2θ from 15° to 90°, in order of rising 2θ:
two_theta  I (rel.)  hkl
25.73  20  2 1 0
27.61  10  2 -1 1
33.96  100  2 1 1
43.04  17  3 2 0
44.41  14  0 0 2
45.38  19  1 4 0
63.56  10  3 2 2
67.90  10  7 -2 1
75.04  10  2 1 3
76.43  9  5 3 1

Entry 3:
ZrTlTe4: calculated powder XRD pattern (CuKα), based on a PBE-relaxed structure.
Kinematic intensities with the Lorentz-polarization factor, no thermal factor.

Structure:
a = 11.051 Å, b = 12.220 Å, c = 7.402 Å
α = 90.00°, β = 124.35°, γ = 90.00°
Space group C2/c (No. 15)
Symmetry-distinct sites (fractional):
Zr 0.000 0.002 0.250
Tl 0.000 0.375 0.250
Te 0.142 0.167 0.628
Te 0.247 0.060 0.209

Top 10 peaks for 2θ from 15° to 90°, in order of rising 2θ:
two_theta  I (rel.)  hkl
25.33  70  3 1 -1
26.03  30  1 1 -2
29.23  57  0 0 2
32.78  68  0 4 1
33.21  49  4 0 -2
33.40  35  1 3 -2
33.76  100  2 2 1
35.23  36  3 3 -2
36.88  39  3 3 0
49.69  35  4 0 -4

Entry 4:
PrY7: calculated powder XRD pattern (CuKα), based on a PBE-relaxed structure.
Kinematic intensities with the Lorentz-polarization factor, no thermal factor.

Structure:
a = 3.555 Å, b = 11.253 Å, c = 13.195 Å
α = 90.00°, β = 90.00°, γ = 90.00°
Space group Immm (No. 71)
Symmetry-distinct sites (fractional):
Pr 0.000 0.000 0.000
Y 0.000 0.230 0.367
Y 0.000 0.500 0.000
Y 0.000 0.500 0.257

Top 10 peaks for 2θ from 15° to 90°, in order of rising 2θ:
two_theta  I (rel.)  hkl
29.63  21  1 1 2
30.51  79  1 2 1
31.44  100  0 2 4
31.81  45  0 4 0
32.38  48  1 0 3
46.03  31  1 4 3
55.76  16  0 0 8
56.44  15  0 6 4
57.74  25  1 2 7
61.51  28  2 2 4

Entry 5:
NaTiHgCl6: calculated powder XRD pattern (CuKα), based on a PBE-relaxed structure.
Kinematic intensities with the Lorentz-polarization factor, no thermal factor.

Structure:
a = 6.764 Å, b = 11.738 Å, c = 6.076 Å
α = 90.00°, β = 90.20°, γ = 90.00°
Space group C2 (No. 5)
Symmetry-distinct sites (fractional):
Na 0.000 0.000 0.000
Ti 0.000 0.667 0.000
Hg 0.000 0.333 0.500
Cl 0.138 0.812 0.226
Cl 0.149 0.526 0.227
Cl 0.214 0.163 0.226

Top 10 peaks for 2θ from 15° to 90°, in order of rising 2θ:
two_theta  I (rel.)  hkl
15.11  38  0 2 0
21.06  100  1 1 -1
26.33  15  1 3 0
30.19  24  1 3 -1
30.49  15  0 4 0
33.21  19  1 1 2
33.95  28  2 2 1
39.86  39  2 0 -2
43.46  30  2 4 1
46.46  19  3 3 0

Entry 6:
Pm5Tl2O2: calculated powder XRD pattern (CuKα), based on a PBE-relaxed structure.
Kinematic intensities with the Lorentz-polarization factor, no thermal factor.

Structure:
a = 4.888 Å, b = 4.888 Å, c = 9.649 Å
α = 90.00°, β = 90.00°, γ = 90.00°
Space group P4/mmm (No. 123)
Symmetry-distinct sites (fractional):
Pm 0.000 0.000 0.000
Pm 0.000 0.500 0.284
Tl 0.500 0.500 0.000
Tl 0.500 0.500 0.500
O 0.000 0.000 0.244

Top 10 peaks for 2θ from 15° to 90°, in order of rising 2θ:
two_theta  I (rel.)  hkl
25.95  13  1 0 2
27.41  10  1 1 1
31.85  100  1 1 2
36.77  42  2 0 0
37.27  14  0 0 4
52.98  15  2 2 0
53.36  20  2 0 4
54.45  9  1 1 5
63.16  29  3 1 2
66.56  10  2 2 4

Entry 7:
K4Gd2C3O9F4: calculated powder XRD pattern (CuKα), based on a PBE-relaxed structure.
Kinematic intensities with the Lorentz-polarization factor, no thermal factor.

Structure:
a = 10.528 Å, b = 9.177 Å, c = 7.049 Å
α = 90.00°, β = 101.87°, γ = 90.00°
Space group C2 (No. 5)
Symmetry-distinct sites (fractional):
K 0.000 0.000 0.000
K 0.000 0.149 0.500
K 0.184 0.688 0.884
Gd 0.144 0.495 0.356
C 0.000 0.355 0.000
C 0.159 0.817 0.376
O 0.000 0.496 0.000
O 0.068 0.285 0.147
O 0.082 0.742 0.244
O 0.157 0.957 0.381
O 0.243 0.747 0.506
F 0.083 0.478 0.650
F 0.200 0.009 0.817

Top 10 peaks for 2θ from 15° to 90°, in order of rising 2θ:
two_theta  I (rel.)  hkl
19.30  100  2 0 -1
19.47  83  1 1 1
27.31  47  1 1 -2
27.44  42  2 2 -1
27.74  45  3 1 0
33.91  66  1 3 1
39.12  40  4 0 -2
39.52  37  2 2 2
44.04  32  0 2 3
44.61  33  4 2 1